CsScAuS2: theoretical X-ray diffraction stick pattern (Cu Kα X-rays), based on the GGA-PBE geometry in Alexandria.

Top 12 peaks for 2θ from 10° to 90°, low angle first:
d = 7.620 Å, 2θ 11.6, I = 83, (1 0 0); d = 5.441 Å, 2θ 16.3, I = 58, (0 1 0); d = 3.810 Å, 2θ 23.3, I = 100, (2 0 0); d = 3.405 Å, 2θ 26.2, I = 55, (1 1 1); d = 3.371 Å, 2θ 26.4, I = 90, (1 0 -2); d = 3.120 Å, 2θ 28.6, I = 97, (2 1 0); d = 2.866 Å, 2θ 31.2, I = 66, (1 1 -2); d = 2.583 Å, 2θ 34.7, I = 44, (2 1 -2); d = 2.562 Å, 2θ 35.0, I = 84, (1 2 0); d = 2.436 Å, 2θ 36.9, I = 58, (1 1 2); d = 2.168 Å, 2θ 41.7, I = 44, (3 1 -2); d = 1.857 Å, 2θ 49.1, I = 39, (3 2 0)

Cell and atoms:
a = 7.964 Å, b = 5.441 Å, c = 6.811 Å
α = 90.00°, β = 106.89°, γ = 90.00°
Space group P2/c (No. 13)
One atom of each set of equivalent atoms:
1 Cs 0.000 0.199 0.250 x2
2 Sc 0.500 0.494 0.750 x2
3 Au 0.500 0.000 0.000 x2
4 S 0.287 0.323 0.931 x4